1.
# AlAgO3
Calculated powder diffraction line list, Cu Kα (weighted mean of Kα1 and Kα2). Input: the GGA-PBE geometry in the Materials Project.
Lines closer than 0.1° are merged.

Structure:
abc: 6.0495 6.0495 10.8470
angles: 90.00 90.00 120.00
Space group P6_3cm (No. 185)
Inequivalent atoms, fractional coordinates:
Al  0.0000  0.0000  0.0000
Al  0.3333  0.6667  0.4985
Ag  0.0000  0.3258  0.2528
O  0.0000  0.0000  0.1664
O  0.0000  0.2716  0.4370
O  0.0000  0.4450  0.0770
O  0.3333  0.6667  0.3232

Principal peaks in the range 2θ = 10–90°, by angle:
- 16.3°, I = 34
- 30.7°, I = 100
- 33.0°, I = 20
- 33.9°, I = 29
- 38.8°, I = 29
- 51.9°, I = 24
- 52.4°, I = 25
- 55.3°, I = 12
- 59.6°, I = 14
- 63.3°, I = 18

***

2.
# AlAgO3
Calculated powder diffraction line list, Cu Kα (weighted mean of Kα1 and Kα2). Input: the GGA-PBE geometry in the Materials Project.
Lines closer than 0.1° are merged.

Structure:
abc: 3.751 3.751 3.751
angles: 90.00 90.00 90.00
Space group Pm-3m (No. 221)
Inequivalent atoms, fractional coordinates:
Al  0.000  0.000  0.000
Ag  0.500  0.500  0.500
O  0.000  0.000  0.500

Principal peaks in the range 2θ = 10–90°, by angle:
- 23.7°, I = 37
- 33.8°, I = 100
- 41.7°, I = 43
- 48.5°, I = 39
- 54.7°, I = 16
- 60.5°, I = 37
- 71.1°, I = 22
- 76.1°, I = 8
- 81.1°, I = 16
- 85.9°, I = 12

***

3.
# AlAgO3
Calculated powder diffraction line list, Cu Kα (weighted mean of Kα1 and Kα2). Input: the GGA-PBE geometry in the Materials Project.
Lines closer than 0.1° are merged.

Structure:
abc: 5.293 9.497 4.728
angles: 90.00 90.00 90.00
Space group Pnma (No. 62)
Inequivalent atoms, fractional coordinates:
Al  0.073  0.250  0.031
Ag  0.000  0.000  0.500
O  0.179  0.095  0.841
O  0.229  0.750  0.825

Principal peaks in the range 2θ = 10–90°, by angle:
- 18.7°, I = 32
- 25.3°, I = 31
- 31.6°, I = 100
- 37.9°, I = 15
- 39.0°, I = 17
- 46.1°, I = 16
- 51.9°, I = 14
- 55.6°, I = 17
- 59.2°, I = 12
- 64.5°, I = 13

***

4.
# AlSiAgO4
Calculated powder diffraction line list, Cu Kα (weighted mean of Kα1 and Kα2). Input: the GGA-PBE geometry in the Materials Project.
Lines closer than 0.1° are merged.

Structure:
abc: 13.0701 13.0701 15.9221
angles: 90.00 90.00 120.00
Space group R3c (No. 161, hexagonal axes)
Inequivalent atoms, fractional coordinates:
Al  0.9996  0.2471  0.0000
Si  0.0852  0.4175  0.1668
Ag  0.1714  0.3431  0.3357
O  0.0049  0.3016  0.5953
O  0.0072  0.3072  0.1013
O  0.0653  0.5275  0.1382
O  0.2100  0.0999  0.5000

Principal peaks in the range 2θ = 10–90°, by angle:
- 13.5°, I = 100
- 19.2°, I = 53
- 23.6°, I = 50
- 27.3°, I = 45
- 33.6°, I = 51
- 39.1°, I = 23
- 43.8°, I = 19
- 44.0°, I = 19
- 48.3°, I = 19
- 67.3°, I = 19

***

5.
# PrAl3Ag
Calculated powder diffraction line list, Cu Kα (weighted mean of Kα1 and Kα2). Input: the GGA-PBE geometry in the Materials Project.
Lines closer than 0.1° are merged.

Structure:
abc: 4.319 4.319 11.140
angles: 90.00 90.00 90.00
Space group I4mm (No. 107)
Inequivalent atoms, fractional coordinates:
Pr  0.000  0.000  0.000
Al  0.000  0.000  0.593
Al  0.000  0.500  0.239
Ag  0.000  0.000  0.367

Principal peaks in the range 2θ = 10–90°, by angle:
- 15.9°, I = 30
- 22.1°, I = 28
- 29.2°, I = 55
- 31.8°, I = 100
- 33.5°, I = 70
- 41.8°, I = 45
- 45.8°, I = 37
- 53.5°, I = 45
- 63.8°, I = 27
- 71.1°, I = 15

***

6.
# AlAgS2
Calculated powder diffraction line list, Cu Kα (weighted mean of Kα1 and Kα2). Input: the GGA-PBE geometry in the Materials Project.
Lines closer than 0.1° are merged.

Structure:
abc: 3.5454 3.5454 20.7988
angles: 90.00 90.00 120.00
Space group R3m (No. 160, hexagonal axes)
Inequivalent atoms, fractional coordinates:
Al  0.0000  0.0000  0.0000
Ag  0.0000  0.0000  0.8437
S  0.0000  0.0000  0.2666
S  0.0000  0.0000  0.7267

Principal peaks in the range 2θ = 10–90°, by angle:
- 12.8°, I = 52
- 25.7°, I = 28
- 29.4°, I = 99
- 30.4°, I = 100
- 33.9°, I = 25
- 36.4°, I = 48
- 42.3°, I = 78
- 45.7°, I = 33
- 51.6°, I = 52
- 66.5°, I = 20

***

7.
# AlAgS2
Calculated powder diffraction line list, Cu Kα (weighted mean of Kα1 and Kα2). Input: the GGA-PBE geometry in the Materials Project.
Lines closer than 0.1° are merged.

Structure:
abc: 5.756 5.756 10.492
angles: 90.00 90.00 90.00
Space group I-42d (No. 122)
Inequivalent atoms, fractional coordinates:
Al  0.000  0.000  0.000
Ag  0.000  0.000  0.500
S  0.205  0.250  0.125

Principal peaks in the range 2θ = 10–90°, by angle:
- 17.6°, I = 30
- 27.7°, I = 100
- 29.9°, I = 17
- 35.9°, I = 22
- 44.5°, I = 21
- 46.9°, I = 37
- 53.3°, I = 28
- 57.3°, I = 16
- 75.4°, I = 12
- 83.7°, I = 11